(1)
This entry pairs a crystal structure of RbNbV2O8 with its theoretical X-ray diffraction stick pattern. Radiation: Cu Kα X-rays. Structure: the PBE+U geometry in Alexandria.

The 8 most intense peaks (2θ from 5° to 70°), sorted by position:
d [Å], I_rel
4.538, 16
4.125, 17
3.896, 18
3.595, 22
3.516, 19
3.275, 100
2.850, 27
1.716, 17

Cell and atoms:
abc: 15.582 5.699 9.326
angles: 90.00 90.00 90.00
Positions (direct):
Rb (0.102, 0.250, 0.061)
Rb (0.398, 0.750, 0.561)
Rb (0.602, 0.250, 0.439)
Rb (0.898, 0.750, 0.939)
Nb (0.158, 0.250, 0.502)
Nb (0.342, 0.750, 0.002)
Nb (0.658, 0.250, 0.998)
Nb (0.842, 0.750, 0.498)
V (0.058, 0.750, 0.318)
V (0.168, 0.750, 0.745)
V (0.332, 0.250, 0.245)
V (0.442, 0.250, 0.818)
V (0.558, 0.750, 0.182)
V (0.668, 0.750, 0.755)
V (0.832, 0.250, 0.255)
V (0.942, 0.250, 0.682)
O (0.041, 0.250, 0.591)
O (0.042, 0.750, 0.142)
O (0.065, 0.750, 0.784)
O (0.118, 0.004, 0.364)
O (0.118, 0.496, 0.364)
O (0.194, 0.002, 0.643)
O (0.194, 0.498, 0.643)
O (0.227, 0.750, 0.910)
O (0.273, 0.250, 0.410)
O (0.306, 0.502, 0.143)
O (0.306, 0.998, 0.143)
O (0.382, 0.504, 0.864)
O (0.382, 0.996, 0.864)
O (0.435, 0.250, 0.284)
O (0.458, 0.250, 0.642)
O (0.459, 0.750, 0.091)
O (0.541, 0.250, 0.909)
O (0.542, 0.750, 0.358)
O (0.565, 0.750, 0.716)
O (0.618, 0.004, 0.136)
O (0.618, 0.496, 0.136)
O (0.694, 0.002, 0.857)
O (0.694, 0.498, 0.857)
O (0.727, 0.750, 0.590)
O (0.773, 0.250, 0.090)
O (0.806, 0.502, 0.357)
O (0.806, 0.998, 0.357)
O (0.882, 0.504, 0.636)
O (0.882, 0.996, 0.636)
O (0.935, 0.250, 0.216)
O (0.958, 0.250, 0.858)
O (0.959, 0.750, 0.409)

(2)
This entry pairs a crystal structure of RbNbV2O8 with its theoretical X-ray diffraction stick pattern. Radiation: Cu Kα X-rays. Structure: the PBE+U geometry in Alexandria.

The 8 most intense peaks (2θ from 5° to 70°), sorted by position:
d [Å], I_rel
4.923, 61
4.815, 49
4.229, 55
4.184, 42
3.146, 100
3.110, 48
2.864, 42
2.800, 78

Cell and atoms:
abc: 5.603 5.603 8.103
angles: 91.13 91.13 61.49
Positions (direct):
Rb (0.000, 0.000, 0.000)
Nb (0.000, 0.000, 0.500)
V (0.350, 0.350, 0.712)
V (0.650, 0.650, 0.288)
O (0.190, 0.190, 0.599)
O (0.192, 0.702, 0.664)
O (0.298, 0.808, 0.336)
O (0.320, 0.320, 0.911)
O (0.680, 0.680, 0.089)
O (0.702, 0.192, 0.664)
O (0.808, 0.298, 0.336)
O (0.810, 0.810, 0.401)